In5Hg6Pb4: theoretical powder diffraction line list (copper Kα), based on a crystal structure in Alexandria, relaxed with PBE.

Cell and atoms:
abc: 9.7970 9.7970 16.1062
angles: 90.81 90.81 147.42
Sites, in units of the cell vectors:
1 In 0.0403 0.9597 0.5000
2 In 0.0482 0.9405 0.8150
3 In 0.2429 0.7406 0.8107
4 In 0.3409 0.6113 0.6518
5 In 0.4394 0.5510 0.8314
6 In 0.5510 0.4394 0.3314
7 In 0.6113 0.3409 0.1518
8 In 0.7406 0.2429 0.3107
9 In 0.9405 0.0482 0.3150
10 In 0.9597 0.0403 0.0000
11 Hg 0.0351 0.9204 0.1723
12 Hg 0.1233 0.8245 0.6513
13 Hg 0.1434 0.8475 0.3527
14 Hg 0.2618 0.7472 0.5050
15 Hg 0.3467 0.6423 0.3450
16 Hg 0.4630 0.5374 0.4941
17 Hg 0.5374 0.4630 0.9941
18 Hg 0.6423 0.3467 0.8450
19 Hg 0.7472 0.2618 0.0050
20 Hg 0.8245 0.1233 0.1513
21 Hg 0.8475 0.1434 0.8527
22 Hg 0.9204 0.0351 0.6723
23 Pb 0.1478 0.8496 0.9893
24 Pb 0.2150 0.7264 0.1814
25 Pb 0.3430 0.6686 0.9960
26 Pb 0.4192 0.5310 0.1704
27 Pb 0.5310 0.4192 0.6704
28 Pb 0.6686 0.3430 0.4960
29 Pb 0.7264 0.2150 0.6814
30 Pb 0.8496 0.1478 0.4893

Peak list (6 most intense, 2θ = 15–90°, in order of rising 2θ)
| Position (°2θ) | I/Imax |
| --- | --- |
| 32.63 | 56 |
| 32.94 | 100 |
| 33.41 | 49 |
| 33.79 | 94 |
| 57.87 | 19 |
| 59.51 | 18 |

Nd3Be2Pd9Au: theoretical powder diffraction line list (copper Kα), based on a crystal structure in Alexandria, relaxed with PBE.

Cell and atoms:
abc: 6.4764 6.4764 7.9223
angles: 90.00 90.00 120.00
Sites, in units of the cell vectors:
1 Nd 0.0000 0.0000 0.0000
2 Nd 0.3333 0.6667 0.6546
3 Nd 0.6667 0.3333 0.3454
4 Be 0.3333 0.6667 0.1289
5 Be 0.6667 0.3333 0.8711
6 Pd 0.0000 0.5000 0.0000
7 Pd 0.1842 0.3685 0.2997
8 Pd 0.1842 0.8158 0.2997
9 Pd 0.3685 0.1842 0.7003
10 Pd 0.5000 0.0000 0.0000
11 Pd 0.5000 0.5000 0.0000
12 Pd 0.6315 0.8158 0.2997
13 Pd 0.8158 0.1842 0.7003
14 Pd 0.8158 0.6315 0.7003
15 Au 0.0000 0.0000 0.5000

Peak list (6 most intense, 2θ = 15–90°, in order of rising 2θ)
| Position (°2θ) | I/Imax |
| --- | --- |
| 27.56 | 27 |
| 33.92 | 100 |
| 39.37 | 94 |
| 56.89 | 53 |
| 67.91 | 29 |
| 71.37 | 17 |

Ba6Y2Ti4O17: theoretical powder diffraction line list (copper Kα), based on a crystal structure in Alexandria, relaxed with PBE.

Cell and atoms:
abc: 6.0016 6.0016 30.0143
angles: 90.00 90.00 120.00
Sites, in units of the cell vectors:
1 Ba 0.0000 0.0000 0.0000
2 Ba 0.0000 0.0000 0.2500
3 Ba 0.0000 0.0000 0.5000
4 Ba 0.0000 0.0000 0.7500
5 Ba 0.3333 0.6667 0.0896
6 Ba 0.3333 0.6667 0.4104
7 Ba 0.3333 0.6667 0.6845
8 Ba 0.3333 0.6667 0.8155
9 Ba 0.6667 0.3333 0.1845
10 Ba 0.6667 0.3333 0.3155
11 Ba 0.6667 0.3333 0.5896
12 Ba 0.6667 0.3333 0.9104
13 Y 0.0000 0.0000 0.1269
14 Y 0.0000 0.0000 0.3731
15 Y 0.0000 0.0000 0.6269
16 Y 0.0000 0.0000 0.8731
17 Ti 0.3333 0.6667 0.2038
18 Ti 0.3333 0.6667 0.2962
19 Ti 0.3333 0.6667 0.5547
20 Ti 0.3333 0.6667 0.9453
21 Ti 0.6667 0.3333 0.0547
22 Ti 0.6667 0.3333 0.4453
23 Ti 0.6667 0.3333 0.7038
24 Ti 0.6667 0.3333 0.7962
25 O 0.0368 0.5184 0.2500
26 O 0.1681 0.3363 0.5774
27 O 0.1681 0.3363 0.9226
28 O 0.1681 0.8319 0.5774
29 O 0.1681 0.8319 0.9226
30 O 0.1758 0.3516 0.1697
31 O 0.1758 0.3516 0.3303
32 O 0.1758 0.8242 0.1697
33 O 0.1758 0.8242 0.3303
34 O 0.3333 0.6667 0.0044
35 O 0.3333 0.6667 0.4956
36 O 0.3363 0.1681 0.0774
37 O 0.3363 0.1681 0.4226
38 O 0.3516 0.1758 0.6697
39 O 0.3516 0.1758 0.8303
40 O 0.4816 0.5184 0.2500
41 O 0.4816 0.9632 0.2500
42 O 0.5184 0.0368 0.7500
43 O 0.5184 0.4816 0.7500
44 O 0.6484 0.8242 0.1697
45 O 0.6484 0.8242 0.3303
46 O 0.6637 0.8319 0.5774
47 O 0.6637 0.8319 0.9226
48 O 0.6667 0.3333 0.5044
49 O 0.6667 0.3333 0.9956
50 O 0.8242 0.1758 0.6697
51 O 0.8242 0.1758 0.8303
52 O 0.8242 0.6484 0.6697
53 O 0.8242 0.6484 0.8303
54 O 0.8319 0.1681 0.0774
55 O 0.8319 0.1681 0.4226
56 O 0.8319 0.6637 0.0774
57 O 0.8319 0.6637 0.4226
58 O 0.9632 0.4816 0.7500

Peak list (6 most intense, 2θ = 15–90°, in order of rising 2θ)
| Position (°2θ) | I/Imax |
| --- | --- |
| 26.96 | 27 |
| 29.36 | 64 |
| 29.77 | 100 |
| 42.31 | 35 |
| 52.59 | 24 |
| 61.83 | 21 |